Theoretical XRD peak list
Compound: Tb3Nd6Th
Radiation: Cu Kα (weighted mean of Kα1 and Kα2)
Structure: a cell relaxed with PBE
No peak broadening, texture or thermal motion is included.

The 10 most intense peaks (2θ from 10° to 80°), in order of rising 2θ:
2θ/deg  Rel. int.
28.5  30
28.7  32
30.9  100
32.3  44
32.6  22
33.2  29
33.4  28
35.3  45
43.5  20
59.6  22

Structure:
```
Tb3Nd6Th
1.0
5.080 0.000 0.000
0.000 11.000 0.000
-0.109 0.000 12.697
Tb Nd Th
6 12 2
direct
0.000 0.000 0.000
0.000 0.500 0.500
0.004 0.161 0.631
0.004 0.339 0.131
0.996 0.661 0.869
0.996 0.839 0.369
0.004 0.666 0.141
0.004 0.834 0.641
0.495 0.507 0.721
0.495 0.993 0.221
0.500 0.195 0.003
0.500 0.305 0.503
0.500 0.695 0.497
0.500 0.805 0.997
0.505 0.007 0.779
0.505 0.493 0.279
0.996 0.166 0.359
0.996 0.334 0.859
0.500 0.000 0.500
0.500 0.500 0.000
```